Ca3TlAs2Pd9: calculated powder diffractogram (CuKα), based on a structure optimized by DFT (GGA-PBE).
Kinematic intensities with the Lorentz-polarization factor, no thermal factor.

Structure:
abc: 5.8052 5.8052 11.5695
angles: 90.00 90.00 120.00
Atoms (fractional coordinates):
Ca (0.0000, 0.0000, 0.0000)
Ca (0.3333, 0.6667, 0.7621)
Ca (0.6667, 0.3333, 0.2379)
Tl (0.0000, 0.0000, 0.5000)
As (0.3333, 0.6667, 0.1580)
As (0.6667, 0.3333, 0.8420)
Pd (0.0000, 0.5000, 0.0000)
Pd (0.1582, 0.3165, 0.3022)
Pd (0.1582, 0.8418, 0.3022)
Pd (0.3165, 0.1582, 0.6978)
Pd (0.5000, 0.0000, 0.0000)
Pd (0.5000, 0.5000, 0.0000)
Pd (0.6835, 0.8418, 0.3022)
Pd (0.8418, 0.1582, 0.6978)
Pd (0.8418, 0.6835, 0.6978)

The 10 most intense peaks (10 to 90 degrees two-theta), in order of rising 2θ:
Position (°2θ)  d (Å)  I (rel.)  hkl
19.25  4.611  100.0  1 0 1
23.06  3.857  19.6  0 0 3
30.92  2.892  15.8  0 0 4
36.58  2.456  34.4  0 2 1
38.84  2.319  40.9  1 1 3
39.07  2.305  99.3  2 0 2
43.00  2.103  30.6  0 1 5
47.95  1.897  34.4  0 2 4
48.55  1.875  18.2  2 1 1
64.17  1.451  23.4  2 2 0

LiCSN: calculated powder diffractogram (CuKα), based on a structure optimized by DFT (GGA-PBE).
Kinematic intensities with the Lorentz-polarization factor, no thermal factor.

Structure:
abc: 12.8985 3.6900 5.3226
angles: 90.00 90.00 90.00
Atoms (fractional coordinates):
Li (0.0889, 0.2500, 0.0524)
Li (0.4111, 0.7500, 0.5524)
Li (0.5889, 0.2500, 0.4476)
Li (0.9111, 0.7500, 0.9476)
C (0.1118, 0.7500, 0.6198)
C (0.3882, 0.2500, 0.1198)
C (0.6118, 0.7500, 0.8802)
C (0.8882, 0.2500, 0.3802)
S (0.1817, 0.7500, 0.3673)
S (0.3183, 0.2500, 0.8673)
S (0.6817, 0.7500, 0.1327)
S (0.8183, 0.2500, 0.6327)
N (0.0619, 0.7500, 0.8089)
N (0.4381, 0.2500, 0.3089)
N (0.5619, 0.7500, 0.6911)
N (0.9381, 0.2500, 0.1911)

The 10 most intense peaks (10 to 90 degrees two-theta), in order of rising 2θ:
Position (°2θ)  d (Å)  I (rel.)  hkl
26.65  3.345  48.4  3 0 1
27.86  3.203  100.0  2 1 0
30.28  2.952  61.7  1 1 1
32.46  2.758  53.9  4 0 1
32.63  2.744  53.4  2 1 1
34.41  2.606  19.1  1 0 2
47.11  1.929  12.7  3 1 2
49.40  1.845  17.7  0 2 0
52.15  1.754  18.0  6 1 1
60.36  1.533  12.7  4 2 1

CsYSe2: calculated powder diffractogram (CuKα), based on a structure optimized by DFT (GGA-PBE).
Kinematic intensities with the Lorentz-polarization factor, no thermal factor.

Structure:
abc: 4.6638 4.6638 8.7155
angles: 90.00 90.00 120.00
Atoms (fractional coordinates):
Cs (0.0000, 0.0000, 0.0000)
Y (0.3333, 0.6667, 0.4696)
Se (0.3333, 0.6667, 0.7600)
Se (0.6667, 0.3333, 0.3489)

The 10 most intense peaks (10 to 90 degrees two-theta), in order of rising 2θ:
Position (°2θ)  d (Å)  I (rel.)  hkl
20.38  4.358  13.1  0 0 2
24.29  3.665  100.0  1 0 1
30.17  2.962  27.4  0 1 2
38.16  2.358  31.4  0 1 3
38.61  2.332  40.8  1 1 0
46.14  1.967  17.2  0 2 1
47.41  1.918  14.4  1 0 4
55.41  1.658  10.4  2 0 3
61.69  1.504  14.4  2 1 1
69.57  1.351  10.4  1 2 3

Ce3Ge13Ir4: calculated powder diffractogram (CuKα), based on a structure optimized by DFT (GGA-PBE).
Kinematic intensities with the Lorentz-polarization factor, no thermal factor.

Structure:
abc: 9.0917 9.0917 9.0917
angles: 90.00 90.00 90.00
Atoms (fractional coordinates):
Ce (0.0000, 0.2500, 0.5000)
Ce (0.0000, 0.7500, 0.5000)
Ce (0.2500, 0.5000, 0.0000)
Ce (0.5000, 0.0000, 0.2500)
Ce (0.5000, 0.0000, 0.7500)
Ce (0.7500, 0.5000, 0.0000)
Ge (0.0000, 0.0000, 0.0000)
Ge (0.0000, 0.3092, 0.1453)
Ge (0.0000, 0.3092, 0.8547)
Ge (0.0000, 0.6908, 0.1453)
Ge (0.0000, 0.6908, 0.8547)
Ge (0.1453, 0.0000, 0.3092)
Ge (0.1453, 0.0000, 0.6908)
Ge (0.1908, 0.5000, 0.3547)
Ge (0.1908, 0.5000, 0.6453)
Ge (0.3092, 0.1453, 0.0000)
Ge (0.3092, 0.8547, 0.0000)
Ge (0.3547, 0.1908, 0.5000)
Ge (0.3547, 0.8092, 0.5000)
Ge (0.5000, 0.3547, 0.1908)
Ge (0.5000, 0.3547, 0.8092)
Ge (0.5000, 0.5000, 0.5000)
Ge (0.5000, 0.6453, 0.1908)
Ge (0.5000, 0.6453, 0.8092)
Ge (0.6453, 0.1908, 0.5000)
Ge (0.6453, 0.8092, 0.5000)
Ge (0.6908, 0.1453, 0.0000)
Ge (0.6908, 0.8547, 0.0000)
Ge (0.8092, 0.5000, 0.3547)
Ge (0.8092, 0.5000, 0.6453)
Ge (0.8547, 0.0000, 0.3092)
Ge (0.8547, 0.0000, 0.6908)
Ir (0.2500, 0.2500, 0.2500)
Ir (0.2500, 0.2500, 0.7500)
Ir (0.2500, 0.7500, 0.2500)
Ir (0.2500, 0.7500, 0.7500)
Ir (0.7500, 0.2500, 0.2500)
Ir (0.7500, 0.2500, 0.7500)
Ir (0.7500, 0.7500, 0.2500)
Ir (0.7500, 0.7500, 0.7500)

The 10 most intense peaks (10 to 90 degrees two-theta), in order of rising 2θ:
Position (°2θ)  d (Å)  I (rel.)  hkl
19.53  4.546  54.5  2 0 0
27.75  3.214  32.8  2 2 0
34.16  2.625  55.3  2 2 2
35.60  2.522  100.0  3 2 0
37.00  2.430  40.6  3 2 1
39.65  2.273  55.1  4 0 0
44.57  2.033  47.4  4 2 0
49.09  1.856  61.0  4 2 2
57.33  1.607  21.7  4 4 0
68.45  1.371  39.9  6 2 2